Computed powder X-ray diffraction pattern of BaCaLaBiO6 for copper Kα, from a PBE-relaxed structure.

Structure:
Lattice parameters (Å, degrees): 8.6059 8.6059 8.6059 90.00 90.00 90.00
Space group F-43m (No. 216)
Asymmetric unit:
Ba 0.0000 0.0000 0.0000
Ca 0.2500 0.2500 0.2500
La 0.0000 0.0000 0.5000
Bi 0.2500 0.2500 0.7500
O 0.0069 0.2500 0.7500

The 12 most intense peaks (10° ≤ 2θ ≤ 90°), in order of rising 2θ:
- hkl 1 1 1, 2θ = 17.85°, I = 25
- hkl 2 2 0, 2θ = 29.35°, I = 100
- hkl 3 1 1, 2θ = 34.57°, I = 15
- hkl 4 0 0, 2θ = 41.99°, I = 30
- hkl 3 3 1, 2θ = 45.97°, I = 7
- hkl 4 2 2, 2θ = 52.06°, I = 41
- hkl 5 1 1, 2θ = 55.48°, I = 6
- hkl 4 4 0, 2θ = 60.89°, I = 19
- hkl 5 3 1, 2θ = 64.01°, I = 6
- hkl 6 2 0, 2θ = 69.02°, I = 18
- hkl 4 4 4, 2θ = 76.72°, I = 6
- hkl 6 4 2, 2θ = 84.19°, I = 22